This entry pairs a crystal structure of Ho3P2Rh5Au2 with its simulated XRD peak list. Radiation: Cu Kα, 1.54184 Å. Structure: a crystal structure in Alexandria, relaxed with GGA-PBE.
Lines closer than 0.1° are merged.

Cell and atoms:
abc: 4.013 4.013 26.342
angles: 90.00 90.00 90.00
Space group I4/mmm (No. 139)
Unique sites:
1 Ho 0.000 0.000 0.000
2 Ho 0.000 0.000 0.163
3 P 0.000 0.000 0.375
4 Rh 0.000 0.000 0.500
5 Rh 0.000 0.500 0.081
6 Au 0.000 0.000 0.276

The 10 most intense peaks (5 to 70 degrees two-theta), low angle first:
2θ = 31.53°, intensity 49; 2θ = 32.27°, intensity 53; 2θ = 32.62°, intensity 76; 2θ = 34.42°, intensity 55; 2θ = 37.75°, intensity 97; 2θ = 38.05°, intensity 73; 2θ = 42.04°, intensity 36; 2θ = 44.04°, intensity 33; 2θ = 45.19°, intensity 100; 2θ = 60.52°, intensity 38

***

This entry pairs a crystal structure of LiCrRe2 with its simulated XRD peak list. Radiation: Cu Kα, 1.54184 Å. Structure: a crystal structure in Alexandria, relaxed with GGA-PBE.
Lines closer than 0.1° are merged.

Cell and atoms:
abc: 2.583 4.144 5.097
angles: 90.00 98.81 90.00
Space group P2/m (No. 10)
Unique sites:
1 Li 0.000 0.000 0.000
2 Cr 0.500 0.000 0.500
3 Re 0.267 0.500 0.754

The 10 most intense peaks (5 to 70 degrees two-theta), low angle first:
2θ = 21.44°, intensity 98; 2θ = 35.65°, intensity 28; 2θ = 36.97°, intensity 25; 2θ = 42.01°, intensity 100; 2θ = 43.13°, intensity 62; 2θ = 43.69°, intensity 30; 2θ = 47.69°, intensity 24; 2θ = 57.61°, intensity 14; 2θ = 58.53°, intensity 14; 2θ = 62.26°, intensity 21

***

This entry pairs a crystal structure of AsH6Pd6 with its simulated XRD peak list. Radiation: Cu Kα, 1.54184 Å. Structure: a crystal structure in Alexandria, relaxed with GGA-PBE.
Lines closer than 0.1° are merged.

Cell and atoms:
abc: 4.6425 4.6425 7.6318
angles: 90.00 90.00 120.00
Space group P6/mmm (No. 191)
Unique sites:
1 As 0.0000 0.0000 0.0000
2 H 0.0000 0.5000 0.3439
3 Pd 0.0000 0.0000 0.3186
4 Pd 0.3333 0.6667 0.0000
5 Pd 0.3333 0.6667 0.5000

The 10 most intense peaks (5 to 70 degrees two-theta), low angle first:
2θ = 23.31°, intensity 33; 2θ = 32.35°, intensity 49; 2θ = 38.79°, intensity 100; 2θ = 42.03°, intensity 24; 2θ = 45.75°, intensity 32; 2θ = 51.37°, intensity 13; 2θ = 53.43°, intensity 12; 2θ = 58.52°, intensity 9; 2θ = 63.07°, intensity 20; 2θ = 66.19°, intensity 12

***

This entry pairs a crystal structure of AcNp2Se4 with its simulated XRD peak list. Radiation: Cu Kα, 1.54184 Å. Structure: a crystal structure in Alexandria, relaxed with GGA-PBE.
Lines closer than 0.1° are merged.

Cell and atoms:
abc: 4.206 13.563 14.002
angles: 90.00 90.00 90.00
Space group Cmcm (No. 63)
Unique sites:
1 Ac 0.000 0.116 0.250
2 Np 0.000 0.368 0.061
3 Se 0.000 0.000 0.000
4 Se 0.000 0.268 0.621
5 Se 0.000 0.449 0.250

The 10 most intense peaks (5 to 70 degrees two-theta), low angle first:
2θ = 23.12°, intensity 100; 2θ = 25.57°, intensity 21; 2θ = 29.71°, intensity 58; 2θ = 31.75°, intensity 63; 2θ = 39.22°, intensity 46; 2θ = 41.67°, intensity 22; 2θ = 43.02°, intensity 26; 2θ = 44.53°, intensity 28; 2θ = 49.40°, intensity 23; 2θ = 63.64°, intensity 19

***

This entry pairs a crystal structure of RbHgSbPb with its simulated XRD peak list. Radiation: Cu Kα, 1.54184 Å. Structure: a crystal structure in Alexandria, relaxed with GGA-PBE.
Lines closer than 0.1° are merged.

Cell and atoms:
abc: 4.8254 4.8254 23.9970
angles: 90.00 90.00 120.00
Space group R3m (No. 160, hexagonal axes)
Unique sites:
1 Rb 0.0000 0.0000 0.0000
2 Hg 0.0000 0.0000 0.4336
3 Sb 0.0000 0.0000 0.2273
4 Pb 0.0000 0.0000 0.8359

The 10 most intense peaks (5 to 70 degrees two-theta), low angle first:
2θ = 11.06°, intensity 48; 2θ = 22.53°, intensity 46; 2θ = 28.32°, intensity 100; 2θ = 33.82°, intensity 24; 2θ = 36.89°, intensity 13; 2θ = 37.27°, intensity 56; 2θ = 38.99°, intensity 16; 2θ = 43.49°, intensity 22; 2θ = 47.46°, intensity 25; 2θ = 61.84°, intensity 23

***

This entry pairs a crystal structure of Pm7BiAs5 with its simulated XRD peak list. Radiation: Cu Kα, 1.54184 Å. Structure: a crystal structure in Alexandria, relaxed with GGA-PBE.
Lines closer than 0.1° are merged.

Cell and atoms:
abc: 4.277 13.981 25.101
angles: 90.00 90.00 90.00
Space group Cmcm (No. 63)
Unique sites:
1 Pm 0.000 0.032 0.250
2 Pm 0.000 0.136 0.535
3 Pm 0.000 0.325 0.173
4 Pm 0.000 0.409 0.604
5 Bi 0.000 0.298 0.750
6 As 0.000 0.043 0.643
7 As 0.000 0.228 0.073
8 As 0.000 0.500 0.000

The 10 most intense peaks (5 to 70 degrees two-theta), low angle first:
2θ = 27.96°, intensity 79; 2θ = 28.14°, intensity 24; 2θ = 29.22°, intensity 100; 2θ = 30.31°, intensity 80; 2θ = 39.10°, intensity 25; 2θ = 41.16°, intensity 16; 2θ = 42.25°, intensity 59; 2θ = 42.62°, intensity 31; 2θ = 42.78°, intensity 22; 2θ = 51.44°, intensity 30

***

This entry pairs a crystal structure of Nd2Sm2Er2In with its simulated XRD peak list. Radiation: Cu Kα, 1.54184 Å. Structure: a crystal structure in Alexandria, relaxed with GGA-PBE.
Lines closer than 0.1° are merged.

Cell and atoms:
abc: 11.875 3.578 11.627
angles: 90.00 113.47 90.00
Space group C2/m (No. 12)
Unique sites:
1 Nd 0.027 0.000 0.253
2 Sm 0.175 0.000 0.587
3 Er 0.245 0.000 0.127
4 In 0.000 0.500 0.000

The 10 most intense peaks (5 to 70 degrees two-theta), low angle first:
2θ = 26.21°, intensity 18; 2θ = 28.53°, intensity 21; 2θ = 30.47°, intensity 32; 2θ = 30.92°, intensity 63; 2θ = 32.95°, intensity 100; 2θ = 34.50°, intensity 70; 2θ = 35.22°, intensity 23; 2θ = 52.73°, intensity 18; 2θ = 55.26°, intensity 19; 2θ = 60.88°, intensity 18

***

This entry pairs a crystal structure of NdDy2Tm4Th with its simulated XRD peak list. Radiation: Cu Kα, 1.54184 Å. Structure: a crystal structure in Alexandria, relaxed with GGA-PBE.
Lines closer than 0.1° are merged.

Cell and atoms:
abc: 5.038 5.052 9.862
angles: 90.00 90.04 90.00
Space group P2/m (No. 10)
Unique sites:
1 Nd 0.000 0.000 0.000
2 Dy 0.000 0.000 0.500
3 Dy 0.500 0.500 0.000
4 Tm 0.000 0.500 0.254
5 Tm 0.500 0.000 0.254
6 Th 0.500 0.500 0.500

The 10 most intense peaks (5 to 70 degrees two-theta), low angle first:
2θ = 30.94°, intensity 100; 2θ = 35.54°, intensity 17; 2θ = 35.64°, intensity 17; 2θ = 36.44°, intensity 16; 2θ = 51.22°, intensity 12; 2θ = 51.84°, intensity 18; 2θ = 60.98°, intensity 15; 2θ = 61.12°, intensity 15; 2θ = 62.18°, intensity 14; 2θ = 64.48°, intensity 12

***

This entry pairs a crystal structure of Zr4GeSb7 with its simulated XRD peak list. Radiation: Cu Kα, 1.54184 Å. Structure: a crystal structure in Alexandria, relaxed with GGA-PBE.
Lines closer than 0.1° are merged.

Cell and atoms:
abc: 7.363 3.994 9.687
angles: 90.00 90.45 90.00
Space group Pm (No. 6)
Unique sites:
1 Zr 0.000 0.000 0.000
2 Zr 0.013 0.500 0.505
3 Zr 0.499 0.000 0.824
4 Zr 0.519 0.500 0.334
5 Ge 0.623 0.500 0.621
6 Sb 0.126 0.500 0.212
7 Sb 0.187 0.500 0.809
8 Sb 0.335 0.000 0.525
9 Sb 0.393 0.000 0.120
10 Sb 0.691 0.500 0.015
11 Sb 0.826 0.000 0.316
12 Sb 0.871 0.000 0.704

The 10 most intense peaks (5 to 70 degrees two-theta), low angle first:
2θ = 30.31°, intensity 41; 2θ = 31.42°, intensity 61; 2θ = 31.53°, intensity 40; 2θ = 33.09°, intensity 100; 2θ = 34.35°, intensity 36; 2θ = 34.45°, intensity 44; 2θ = 37.78°, intensity 64; 2θ = 37.93°, intensity 69; 2θ = 41.10°, intensity 36; 2θ = 45.42°, intensity 48

***

This entry pairs a crystal structure of K6AuBr2O with its simulated XRD peak list. Radiation: Cu Kα, 1.54184 Å. Structure: a crystal structure in Alexandria, relaxed with GGA-PBE.
Lines closer than 0.1° are merged.

Cell and atoms:
abc: 8.0108 8.0108 21.1794
angles: 90.00 90.00 120.00
Space group R3 (No. 146, hexagonal axes)
Unique sites:
1 K 0.0404 0.2931 0.0000
2 K 0.0702 0.6679 0.5138
3 Au 0.0000 0.0000 0.4432
4 Br 0.0000 0.0000 0.2446
5 Br 0.0000 0.0000 0.7180
6 O 0.0000 0.0000 0.9259

The 10 most intense peaks (5 to 70 degrees two-theta), low angle first:
2θ = 13.43°, intensity 57; 2θ = 15.27°, intensity 54; 2θ = 21.11°, intensity 100; 2θ = 22.19°, intensity 78; 2θ = 25.57°, intensity 84; 2θ = 30.82°, intensity 64; 2θ = 33.85°, intensity 81; 2θ = 34.46°, intensity 45; 2θ = 38.30°, intensity 64; 2θ = 38.95°, intensity 58

***

This entry pairs a crystal structure of PuTlSn2O8 with its simulated XRD peak list. Radiation: Cu Kα, 1.54184 Å. Structure: a crystal structure in Alexandria, relaxed with GGA-PBE.
Lines closer than 0.1° are merged.

Cell and atoms:
abc: 5.036 6.586 5.042
angles: 90.00 90.01 90.00
Space group P2/m (No. 10)
Unique sites:
1 Pu 0.000 0.000 0.000
2 Tl 0.000 0.500 0.000
3 Sn 0.500 0.250 0.500
4 O 0.206 0.231 0.203
5 O 0.311 0.000 0.686
6 O 0.315 0.500 0.682

The 10 most intense peaks (5 to 70 degrees two-theta), low angle first:
2θ = 17.60°, intensity 15; 2θ = 24.99°, intensity 100; 2θ = 32.48°, intensity 86; 2θ = 35.63°, intensity 28; 2θ = 48.98°, intensity 70; 2θ = 51.28°, intensity 17; 2θ = 57.87°, intensity 18; 2θ = 62.03°, intensity 20; 2θ = 62.10°, intensity 17; 2θ = 68.02°, intensity 10

***

This entry pairs a crystal structure of LaScH with its simulated XRD peak list. Radiation: Cu Kα, 1.54184 Å. Structure: a crystal structure in Alexandria, relaxed with GGA-PBE.
Lines closer than 0.1° are merged.

Cell and atoms:
abc: 8.303 8.303 3.566
angles: 90.00 90.00 90.00
Space group P4_2/m (No. 84)
Unique sites:
1 La 0.018 0.277 0.000
2 Sc 0.285 0.552 0.500
3 H 0.273 0.291 0.500

The 10 most intense peaks (5 to 70 degrees two-theta), low angle first:
2θ = 10.66°, intensity 19; 2θ = 23.97°, intensity 28; 2θ = 27.21°, intensity 23; 2θ = 30.45°, intensity 54; 2θ = 32.35°, intensity 18; 2θ = 33.12°, intensity 100; 2θ = 43.61°, intensity 15; 2θ = 46.97°, intensity 23; 2θ = 55.83°, intensity 25; 2θ = 60.77°, intensity 14